[1]
Simulated powder diffraction line list
Compound: LiPmCd4
Radiation: Cu Kα, 1.54184 Å
Structure: a crystal structure in Alexandria, relaxed with PBE

Atomic structure:
Cell: 4.364 17.122 7.354 Å, 90.00 90.00 90.00°
Space group Cmcm (No. 63)
Unique sites:
Li 0.000 0.231 0.250 [4 per cell]
Pm 0.000 0.118 0.750 [4 per cell]
Cd 0.000 0.073 0.250 [4 per cell]
Cd 0.000 0.319 0.549 [8 per cell]
Cd 0.000 0.500 0.000 [4 per cell]

Peak list (10 most intense, 10° ≤ 2θ ≤ 90°, sorted by position)
Position (°2θ), I_rel, h k l
24.3, 143, 1 1 1
32.1, 203, 0 4 2
32.3, 1000, 1 1 2
33.3, 715, 1 5 0
33.7, 134, 0 6 1
35.5, 198, 1 5 1
40.0, 303, 0 6 2
41.4, 284, 2 0 0
58.9, 186, 2 6 2
61.0, 134, 1 5 4

=====

[2]
Simulated powder diffraction line list
Compound: Li2PmTl2Cd2
Radiation: Cu Kα, 1.54184 Å
Structure: a crystal structure in Alexandria, relaxed with PBE

Atomic structure:
Cell: 8.729 4.810 8.074 Å, 90.00 105.80 90.00°
Space group C2/m (No. 12)
Unique sites:
Li 0.135 0.000 0.433 [4 per cell]
Pm 0.000 0.000 0.000 [2 per cell]
Tl 0.221 0.500 0.195 [4 per cell]
Cd 0.077 0.500 0.692 [4 per cell]

Peak list (10 most intense, 10° ≤ 2θ ≤ 90°, sorted by position)
Position (°2θ), I_rel, h k l
11.4, 460, 0 0 1
22.9, 280, 0 0 2
25.6, 851, 1 1 1
26.7, 552, 2 0 -2
33.6, 974, 1 1 2
35.4, 345, 2 0 -3
36.2, 1000, 3 1 -1
37.4, 475, 0 2 0
46.5, 249, 2 2 -2
49.0, 256, 1 1 -4

=====

[3]
Simulated powder diffraction line list
Compound: Li4Pr3Cd4
Radiation: Cu Kα, 1.54184 Å
Structure: a crystal structure in Alexandria, relaxed with PBE

Atomic structure:
Cell: 32.154 3.365 5.043 Å, 90.00 98.99 90.00°
Space group C2/m (No. 12)
Unique sites:
Li 0.093 0.000 0.093 [4 per cell]
Li 0.240 0.000 0.740 [4 per cell]
Pr 0.000 0.500 0.000 [2 per cell]
Pr 0.142 0.500 0.642 [4 per cell]
Cd 0.049 0.000 0.550 [4 per cell]
Cd 0.186 0.000 0.187 [4 per cell]

Peak list (10 most intense, 10° ≤ 2θ ≤ 90°, sorted by position)
Position (°2θ), I_rel, h k l
16.7, 673, 6 0 0
22.5, 735, 6 0 -1
32.5, 999, 1 1 1
33.1, 686, 7 1 0
34.0, 782, 5 1 -1
35.6, 560, 2 0 -2
35.8, 1000, 12 0 -1
45.9, 287, 13 1 0
49.4, 440, 5 1 2
67.0, 309, 12 2 -1

=====

[4]
Simulated powder diffraction line list
Compound: LiPr3Cd8
Radiation: Cu Kα, 1.54184 Å
Structure: a crystal structure in Alexandria, relaxed with PBE

Atomic structure:
Cell: 5.9789 5.9789 29.3500 Å, 90.00 90.00 120.00°
Space group R3m (No. 160, hexagonal axes)
Unique sites:
Li 0.0000 0.0000 0.0000 [3 per cell]
Pr 0.0000 0.0000 0.1238 [3 per cell]
Pr 0.0000 0.0000 0.5042 [3 per cell]
Pr 0.0000 0.0000 0.6297 [3 per cell]
Cd 0.0000 0.0000 0.3152 [3 per cell]
Cd 0.0000 0.0000 0.8147 [3 per cell]
Cd 0.0003 0.5001 0.5655 [9 per cell]
Cd 0.1675 0.3349 0.3976 [9 per cell]

Peak list (10 most intense, 10° ≤ 2θ ≤ 90°, sorted by position)
Position (°2θ), I_rel, h k l
18.2, 100, 0 0 6
29.9, 240, 1 1 0
35.2, 1000, 1 0 10
36.8, 431, 0 2 4
56.5, 207, 0 0 18
56.5, 120, 0 3 6
62.1, 280, 2 2 0
73.4, 87, 1 3 10
74.3, 113, 2 0 20
88.9, 158, 2 2 18

=====

[5]
Simulated powder diffraction line list
Compound: Li15Cd2Pt2
Radiation: Cu Kα, 1.54184 Å
Structure: a crystal structure in Alexandria, relaxed with PBE

Atomic structure:
Cell: 7.2202 7.2202 20.8814 Å, 90.00 90.00 120.00°
Space group R-3m (No. 166, hexagonal axes)
Unique sites:
Li 0.0000 0.3302 0.0000 [18 per cell]
Li 0.0000 0.5000 0.5000 [9 per cell]
Li 0.0701 0.5351 0.1063 [18 per cell]
Cd 0.0000 0.0000 0.0796 [6 per cell]
Pt 0.0000 0.0000 0.2759 [6 per cell]

Peak list (10 most intense, 10° ≤ 2θ ≤ 90°, sorted by position)
Position (°2θ), I_rel, h k l
12.7, 172, 0 0 3
14.8, 168, 1 0 1
16.5, 407, 0 1 2
24.7, 1000, 1 1 0
25.6, 685, 0 1 5
35.9, 750, 2 0 5
43.4, 254, 3 0 0
44.0, 249, 1 2 5
46.5, 213, 1 1 9
57.5, 234, 3 1 5

=====

[6]
Simulated powder diffraction line list
Compound: Li5Cd5Pt2
Radiation: Cu Kα, 1.54184 Å
Structure: a crystal structure in Alexandria, relaxed with PBE

Atomic structure:
Cell: 13.568 4.601 7.988 Å, 90.00 123.55 90.00°
Space group C2/m (No. 12)
Unique sites:
Li 0.000 0.000 0.000 [2 per cell]
Li 0.073 0.000 0.407 [4 per cell]
Li 0.248 0.000 0.200 [4 per cell]
Cd 0.000 0.500 0.500 [2 per cell]
Cd 0.093 0.500 0.928 [4 per cell]
Cd 0.188 0.500 0.356 [4 per cell]
Pt 0.152 0.000 0.793 [4 per cell]

Peak list (10 most intense, 10° ≤ 2θ ≤ 90°, sorted by position)
Position (°2θ), I_rel, h k l
13.9, 353, 2 0 -1
22.3, 429, 1 1 -1
27.1, 399, 1 1 1
27.9, 203, 4 0 -2
37.6, 240, 1 1 2
38.2, 285, 2 0 2
39.1, 1000, 0 2 0
39.5, 629, 5 1 -1
55.9, 185, 2 2 2
57.7, 157, 8 0 -4

=====

[7]
Simulated powder diffraction line list
Compound: Li7Cd2Pt
Radiation: Cu Kα, 1.54184 Å
Structure: a crystal structure in Alexandria, relaxed with PBE

Atomic structure:
Cell: 4.4306 4.4306 10.3683 Å, 90.00 90.00 120.00°
Space group P3m1 (No. 156)
Unique sites:
Li 0.0000 0.0000 0.0000 [1 per cell]
Li 0.0000 0.0000 0.2181 [1 per cell]
Li 0.0000 0.0000 0.4730 [1 per cell]
Li 0.3333 0.6667 0.0303 [1 per cell]
Li 0.3333 0.6667 0.6179 [1 per cell]
Li 0.6667 0.3333 0.4037 [1 per cell]
Li 0.6667 0.3333 0.8715 [1 per cell]
Cd 0.0000 0.0000 0.7384 [1 per cell]
Cd 0.3333 0.6667 0.2984 [1 per cell]
Pt 0.6667 0.3333 0.1349 [1 per cell]

Peak list (10 most intense, 10° ≤ 2θ ≤ 90°, sorted by position)
Position (°2θ), I_rel, h k l
17.1, 343, 0 0 2
24.7, 1000, 1 0 1
29.0, 441, 0 1 2
34.9, 458, 1 0 3
40.7, 362, 1 1 0
42.1, 335, 0 1 4
44.5, 181, 1 1 2
48.2, 164, 0 2 1
54.7, 125, 0 2 3
64.9, 133, 2 1 1

=====

[8]
Simulated powder diffraction line list
Compound: Li3Cd3Pt2
Radiation: Cu Kα, 1.54184 Å
Structure: a crystal structure in Alexandria, relaxed with PBE

Atomic structure:
Cell: 7.2480 7.2480 8.9937 Å, 90.00 90.00 120.00°
Space group R32 (No. 155, hexagonal axes)
Unique sites:
Li 0.0000 0.7524 0.0000 [9 per cell]
Cd 0.0000 0.2602 0.5000 [9 per cell]
Pt 0.0000 0.0000 0.2557 [6 per cell]

Peak list (10 most intense, 10° ≤ 2θ ≤ 90°, sorted by position)
Position (°2θ), I_rel, h k l
24.3, 610, 0 1 2
24.6, 926, 1 1 0
34.9, 811, 2 0 2
39.0, 436, 1 1 3
39.3, 262, 2 1 1
42.7, 435, 1 0 4
43.1, 1000, 1 2 2
43.2, 533, 3 0 0
67.6, 291, 1 1 6
68.4, 478, 2 3 2

=====

[9]
Simulated powder diffraction line list
Compound: Li4Cd3Pt
Radiation: Cu Kα, 1.54184 Å
Structure: a crystal structure in Alexandria, relaxed with PBE

Atomic structure:
Cell: 9.365 5.896 4.946 Å, 90.00 90.00 90.00°
Space group Pmma (No. 51)
Unique sites:
Li 0.000 0.228 0.000 [4 per cell]
Li 0.250 0.231 0.373 [4 per cell]
Cd 0.000 0.500 0.500 [2 per cell]
Cd 0.250 0.000 0.852 [2 per cell]
Cd 0.250 0.500 0.894 [2 per cell]
Pt 0.000 0.000 0.500 [2 per cell]

Peak list (10 most intense, 10° ≤ 2θ ≤ 90°, sorted by position)
Position (°2θ), I_rel, h k l
20.3, 226, 1 0 1
26.2, 1000, 2 0 1
30.3, 477, 0 2 0
38.4, 281, 4 0 0
40.5, 728, 2 2 1
41.3, 154, 2 0 2
49.7, 228, 4 2 0
52.1, 137, 2 2 2
63.1, 134, 0 4 0
70.9, 135, 6 2 1

=====

[10]
Simulated powder diffraction line list
Compound: LiCd5Pt
Radiation: Cu Kα, 1.54184 Å
Structure: a crystal structure in Alexandria, relaxed with PBE

Atomic structure:
Cell: 7.744 10.387 4.930 Å, 90.00 90.00 90.00°
Space group Imm2 (No. 44)
Unique sites:
Li 0.000 0.000 0.000 [2 per cell]
Cd 0.000 0.000 0.491 [2 per cell]
Cd 0.000 0.246 0.811 [4 per cell]
Cd 0.180 0.500 0.310 [4 per cell]
Pt 0.000 0.500 0.808 [2 per cell]

Peak list (10 most intense, 10° ≤ 2θ ≤ 90°, sorted by position)
Position (°2θ), I_rel, h k l
14.3, 315, 1 1 0
17.1, 400, 0 2 0
21.4, 425, 1 0 1
23.0, 320, 2 0 0
27.5, 237, 1 2 1
30.6, 615, 2 1 1
34.5, 431, 0 4 0
36.5, 211, 0 0 2
39.4, 1000, 3 0 1
53.4, 412, 3 4 1

=====

[11]
Simulated powder diffraction line list
Compound: LiCd3Pt3
Radiation: Cu Kα, 1.54184 Å
Structure: a crystal structure in Alexandria, relaxed with PBE

Atomic structure:
Cell: 9.159 9.344 6.019 Å, 90.00 90.00 90.00°
Space group Cmmm (No. 65)
Unique sites:
Li 0.000 0.243 0.000 [4 per cell]
Cd 0.000 0.258 0.500 [4 per cell]
Cd 0.228 0.500 0.000 [4 per cell]
Cd 0.237 0.500 0.500 [4 per cell]
Pt 0.000 0.000 0.241 [4 per cell]
Pt 0.250 0.250 0.239 [8 per cell]

Peak list (10 most intense, 10° ≤ 2θ ≤ 90°, sorted by position)
Position (°2θ), I_rel, h k l
13.5, 224, 1 1 0
19.4, 173, 2 0 0
32.8, 107, 1 1 2
38.5, 298, 0 4 0
39.3, 268, 4 0 0
40.7, 1000, 2 2 2
56.3, 187, 4 4 0
71.2, 188, 2 6 2
72.3, 165, 6 2 2
88.2, 104, 4 4 4

=====

[12]
Simulated powder diffraction line list
Compound: Li3Cd2Pt2
Radiation: Cu Kα, 1.54184 Å
Structure: a crystal structure in Alexandria, relaxed with PBE

Atomic structure:
Cell: 7.786 4.523 7.042 Å, 90.00 112.34 90.00°
Space group C2/m (No. 12)
Unique sites:
Li 0.000 0.000 0.000 [2 per cell]
Li 0.144 0.000 0.430 [4 per cell]
Cd 0.214 0.500 0.142 [4 per cell]
Pt 0.067 0.500 0.702 [4 per cell]

Peak list (10 most intense, 10° ≤ 2θ ≤ 90°, sorted by position)
Position (°2θ), I_rel, h k l
23.2, 1000, 2 0 -1
27.4, 184, 0 0 2
39.5, 217, 2 0 -3
39.8, 640, 0 2 0
40.1, 425, 3 1 -1
43.6, 147, 1 1 -3
46.6, 107, 2 2 -1
49.0, 152, 0 2 2
57.4, 150, 2 2 -3
72.2, 107, 5 1 -4